# La3Tb7Dy
Theoretical powder diffraction line list, Cu Kα. Input: a structure optimized by DFT (GGA-PBE).
Kinematic intensities with the Lorentz-polarization factor, no thermal factor.

Structural model:
Cell: 6.5921 6.7627 8.6938 Å, 99.76 98.44 95.34°
Space group P-1 (No. 2)
Unique sites:
La: 0.0000 0.0000 0.0000 [1 per cell]
La: 0.1944 0.5606 0.1667 [2 per cell]
Tb: 0.0120 0.7697 0.5779 [2 per cell]
Tb: 0.2841 0.2743 0.7872 [2 per cell]
Tb: 0.4365 0.7917 0.8533 [2 per cell]
Tb: 0.5000 0.5000 0.5000 [1 per cell]
Dy: 0.5000 0.0000 0.5000 [1 per cell]

Peak list (10 most intense, 2θ = 10–90°, low angle first)
hkl 0 1 2, 27.1 deg, intensity 21
hkl 1 2 -1, 31.1 deg, intensity 96
hkl 2 0 1, 31.2 deg, intensity 32
hkl -1 2 1, 31.7 deg, intensity 100
hkl 2 -1 1, 31.8 deg, intensity 78
hkl 2 0 -2, 31.9 deg, intensity 67
hkl 0 1 -3, 32.2 deg, intensity 42
hkl 1 0 -3, 32.5 deg, intensity 21
hkl 1 1 2, 32.8 deg, intensity 43
hkl 1 -2 2, 34.2 deg, intensity 31



# La9Tb4Dy
Theoretical powder diffraction line list, Cu Kα. Input: a structure optimized by DFT (GGA-PBE).
Kinematic intensities with the Lorentz-polarization factor, no thermal factor.

Structural model:
Cell: 10.0470 10.0470 11.5592 Å, 90.00 90.00 120.00°
Space group P6_3/mmc (No. 194)
Unique sites:
La: 0.0790 0.5395 0.2500 [6 per cell]
La: 0.2072 0.4144 0.5296 [12 per cell]
Tb: 0.0000 0.0000 0.0000 [2 per cell]
Tb: 0.1101 0.2203 0.2500 [6 per cell]
Dy: 0.3333 0.6667 0.7500 [2 per cell]

Peak list (10 most intense, 2θ = 10–90°, low angle first)
hkl 2 0 1, 21.8 deg, intensity 10
hkl 0 0 4, 31.0 deg, intensity 55
hkl 2 1 2, 31.3 deg, intensity 100
hkl 3 0 1, 31.8 deg, intensity 38
hkl 2 2 0, 35.7 deg, intensity 11
hkl 3 0 5, 50.5 deg, intensity 23
hkl 3 3 0, 54.8 deg, intensity 17
hkl 5 0 2, 55.1 deg, intensity 20
hkl 2 1 6, 55.3 deg, intensity 11
hkl 3 3 4, 64.3 deg, intensity 23



# La3Tb3Dy4
Theoretical powder diffraction line list, Cu Kα. Input: a structure optimized by DFT (GGA-PBE).
Kinematic intensities with the Lorentz-polarization factor, no thermal factor.

Structural model:
Cell: 3.7136 13.5900 13.5746 Å, 90.00 90.00 90.00°
Space group Amm2 (No. 38)
Unique sites:
La: 0.0000 0.0000 0.0000 [2 per cell]
La: 0.5000 0.2463 0.4223 [4 per cell]
Tb: 0.0000 0.0000 0.3483 [2 per cell]
Tb: 0.0000 0.1725 0.6727 [4 per cell]
Dy: 0.5000 0.0000 0.5499 [2 per cell]
Dy: 0.5000 0.0000 0.7938 [2 per cell]
Dy: 0.5000 0.1241 0.1783 [4 per cell]

Peak list (10 most intense, 2θ = 10–90°, low angle first)
hkl 0 0 4, 26.2 deg, intensity 12
hkl 0 4 2, 29.4 deg, intensity 58
hkl 1 2 2, 30.4 deg, intensity 29
hkl 1 3 1, 31.9 deg, intensity 100
hkl 0 5 1, 33.6 deg, intensity 15
hkl 1 3 5, 46.0 deg, intensity 11
hkl 2 0 0, 49.1 deg, intensity 12
hkl 1 6 4, 54.6 deg, intensity 18
hkl 1 7 3, 57.3 deg, intensity 15
hkl 2 4 2, 58.2 deg, intensity 17



# La3TbDy
Theoretical powder diffraction line list, Cu Kα. Input: a structure optimized by DFT (GGA-PBE).
Kinematic intensities with the Lorentz-polarization factor, no thermal factor.

Structural model:
Cell: 6.2245 8.8912 12.8296 Å, 90.00 90.00 90.00°
Space group Pnna (No. 52)
Unique sites:
La: 0.0824 0.1684 0.0629 [8 per cell]
La: 0.1625 0.2500 0.7500 [4 per cell]
Tb: 0.2500 0.0000 0.2992 [4 per cell]
Dy: 0.2500 0.0000 0.5573 [4 per cell]

Peak list (10 most intense, 2θ = 10–90°, low angle first)
hkl 1 2 1, 25.6 deg, intensity 35
hkl 1 1 3, 27.2 deg, intensity 63
hkl 2 1 0, 30.4 deg, intensity 36
hkl 0 3 1, 31.0 deg, intensity 66
hkl 2 1 1, 31.2 deg, intensity 43
hkl 1 2 3, 32.4 deg, intensity 100
hkl 1 1 4, 33.0 deg, intensity 76
hkl 2 2 0, 35.2 deg, intensity 25
hkl 3 0 3, 48.8 deg, intensity 23
hkl 3 3 4, 61.8 deg, intensity 36



# La6TbDy4
Theoretical powder diffraction line list, Cu Kα. Input: a structure optimized by DFT (GGA-PBE).
Kinematic intensities with the Lorentz-polarization factor, no thermal factor.

Structural model:
Cell: 5.9332 9.8486 26.2732 Å, 90.00 90.00 90.00°
Space group Cmcm (No. 63)
Unique sites:
La: 0.0000 0.0000 0.0000 [4 per cell]
La: 0.0000 0.0458 0.2500 [4 per cell]
La: 0.0000 0.3047 0.5994 [8 per cell]
La: 0.0000 0.3711 0.1820 [8 per cell]
Tb: 0.0000 0.2945 0.7500 [4 per cell]
Dy: 0.0000 0.0372 0.1247 [8 per cell]
Dy: 0.0000 0.3467 0.0453 [8 per cell]

Peak list (10 most intense, 2θ = 10–90°, low angle first)
hkl 1 1 7, 29.6 deg, intensity 69
hkl 0 2 7, 29.9 deg, intensity 58
hkl 2 0 0, 30.1 deg, intensity 80
hkl 1 3 0, 31.1 deg, intensity 100
hkl 1 3 1, 31.3 deg, intensity 43
hkl 1 1 8, 32.5 deg, intensity 66
hkl 2 2 7, 43.0 deg, intensity 43
hkl 3 3 0, 54.1 deg, intensity 23
hkl 1 5 7, 54.9 deg, intensity 17
hkl 2 4 8, 56.0 deg, intensity 21



# La3Tb2Dy7
Theoretical powder diffraction line list, Cu Kα. Input: a structure optimized by DFT (GGA-PBE).
Kinematic intensities with the Lorentz-polarization factor, no thermal factor.

Structural model:
Cell: 3.6151 5.7617 19.4090 Å, 86.81 84.70 90.00°
Space group P-1 (No. 2)
Unique sites:
La: 0.0000 0.0000 0.0000 [1 per cell]
La: 0.3229 0.2748 0.3576 [2 per cell]
Tb: 0.1416 0.2137 0.7134 [2 per cell]
Dy: 0.0850 0.6942 0.8274 [2 per cell]
Dy: 0.2283 0.2430 0.5423 [2 per cell]
Dy: 0.4304 0.8101 0.1412 [2 per cell]
Dy: 0.5000 0.5000 0.0000 [1 per cell]

Peak list (10 most intense, 2θ = 10–90°, low angle first)
hkl 0 0 6, 27.7 deg, intensity 27
hkl 1 -1 0, 29.2 deg, intensity 28
hkl 1 1 2, 29.8 deg, intensity 24
hkl 1 -1 2, 30.2 deg, intensity 53
hkl 0 1 6, 31.1 deg, intensity 100
hkl 1 1 -2, 31.8 deg, intensity 55
hkl 0 1 -6, 32.6 deg, intensity 24
hkl 1 1 4, 33.0 deg, intensity 31
hkl -1 1 4, 35.5 deg, intensity 23
hkl 2 1 7, 60.5 deg, intensity 30



# La4TbDy7
Theoretical powder diffraction line list, Cu Kα. Input: a structure optimized by DFT (GGA-PBE).
Kinematic intensities with the Lorentz-polarization factor, no thermal factor.

Structural model:
Cell: 3.6158 3.6158 35.2440 Å, 90.00 90.00 120.00°
Space group P-3m1 (No. 164)
Unique sites:
La: 0.3333 0.6667 0.1657 [2 per cell]
La: 0.3333 0.6667 0.4159 [2 per cell]
Tb: 0.0000 0.0000 0.0000 [1 per cell]
Dy: 0.0000 0.0000 0.2505 [2 per cell]
Dy: 0.0000 0.0000 0.5000 [1 per cell]
Dy: 0.3333 0.6667 0.6688 [2 per cell]
Dy: 0.3333 0.6667 0.9190 [2 per cell]

Peak list (10 most intense, 2θ = 10–90°, low angle first)
hkl 1 0 4, 30.3 deg, intensity 100
hkl 0 0 12, 30.4 deg, intensity 33
hkl 0 1 8, 35.2 deg, intensity 67
hkl 1 1 0, 50.5 deg, intensity 24
hkl 1 0 16, 50.7 deg, intensity 23
hkl 0 2 4, 60.1 deg, intensity 43
hkl 0 1 20, 60.3 deg, intensity 14
hkl 2 0 8, 63.0 deg, intensity 12
hkl 2 1 4, 82.2 deg, intensity 12
hkl 1 2 8, 84.8 deg, intensity 11



# La2Tb7Dy2
Theoretical powder diffraction line list, Cu Kα. Input: a structure optimized by DFT (GGA-PBE).
Kinematic intensities with the Lorentz-polarization factor, no thermal factor.

Structural model:
Cell: 11.3123 11.6307 6.1443 Å, 90.00 113.82 90.00°
Space group C2/m (No. 12)
Unique sites:
La: 0.0933 0.0000 0.3098 [4 per cell]
Tb: 0.0000 0.5000 0.5000 [2 per cell]
Tb: 0.1745 0.2609 0.6797 [8 per cell]
Tb: 0.2278 0.5000 0.0752 [4 per cell]
Dy: 0.0000 0.2878 0.0000 [4 per cell]

Peak list (10 most intense, 2θ = 10–90°, low angle first)
hkl 3 1 -1, 25.4 deg, intensity 22
hkl 1 1 -2, 30.4 deg, intensity 27
hkl 0 4 0, 30.7 deg, intensity 48
hkl 4 0 -1, 31.7 deg, intensity 27
hkl 2 2 1, 31.8 deg, intensity 100
hkl 2 2 -2, 33.3 deg, intensity 40
hkl 3 3 -1, 33.6 deg, intensity 29
hkl 4 2 -1, 35.4 deg, intensity 13
hkl 4 4 -1, 44.7 deg, intensity 16
hkl 2 6 1, 55.3 deg, intensity 14